This entry pairs a crystal structure of Na2Tl8Pb3 with its calculated XRD peak list. Radiation: Cu Kα, 1.54184 Å. Structure: a cell relaxed with PBE.
Neutral-atom scattering factors, no anomalous dispersion.

Structure:
Cell lengths 7.619, 4.980, 10.845 Å; angles 90.00, 96.09, 90.00 degrees
Atoms (fractional coordinates):
Na 0.233 0.000 0.069
Na 0.767 0.000 0.931
Tl 0.073 0.000 0.349
Tl 0.086 0.500 0.864
Tl 0.352 0.000 0.788
Tl 0.366 0.500 0.271
Tl 0.634 0.500 0.729
Tl 0.648 0.000 0.212
Tl 0.914 0.500 0.136
Tl 0.927 0.000 0.651
Pb 0.214 0.500 0.568
Pb 0.500 0.000 0.500
Pb 0.786 0.500 0.432

Most intense lines, 2θ from 10° to 90°, most intense first:
h k l	two_theta	I_rel
2 1 1	31.48	100
1 1 -3	31.94	95
0 2 0	36.07	35
1 0 4	36.54	33
3 0 -2	37.70	30
1 3 -3	62.32	28
1 2 4	52.29	24
3 2 -2	53.16	23